[1]
CeAl5Pt3: theoretical X-ray diffraction stick pattern (λ = 1.5418 Å (Cu Kα)), based on a crystal structure in the Materials Project, relaxed with GGA-PBE.
Intensities are scaled so that the largest is 100.

Most intense lines, 2θ from 15° to 90°, sorted by position:
two_theta	d [Å]	Rel. int.	(hkl)
25.74	3.461	32	6 0 0
27.52	3.242	100	3 0 2
27.84	3.205	30	3 1 1
32.86	2.726	76	1 1 2
43.55	2.078	33	0 2 0
46.51	1.952	33	9 0 2

Structural model:
Cell lengths 20.7650, 4.1563, 7.3298 Å; angles 90.00, 90.00, 90.00 degrees
Space group Pnma (No. 62)
One atom of each set of equivalent atoms:
1 Ce 0.1405 0.2500 0.1181 [4 per cell]
2 Al 0.0075 0.7500 0.1314 [4 per cell]
3 Al 0.0173 0.2500 0.3863 [4 per cell]
4 Al 0.1172 0.2500 0.6440 [4 per cell]
5 Al 0.2006 0.7500 0.8122 [4 per cell]
6 Al 0.2081 0.7500 0.4252 [4 per cell]
7 Pt 0.0731 0.7500 0.8391 [4 per cell]
8 Pt 0.0846 0.7500 0.4198 [4 per cell]
9 Pt 0.2383 0.2500 0.6171 [4 per cell]

=====

[2]
LiCuPO4: theoretical X-ray diffraction stick pattern (λ = 1.5418 Å (Cu Kα)), based on a crystal structure in the Materials Project, relaxed with GGA-PBE.
Intensities are scaled so that the largest is 100.

Most intense lines, 2θ from 15° to 90°, sorted by position:
two_theta	d [Å]	Rel. int.	(hkl)
22.05	4.030	100	2 0 2
36.36	2.471	28	0 2 0
36.57	2.457	16	4 0 0
42.87	2.109	10	0 1 6
42.95	2.106	8	2 2 2
43.09	2.099	8	4 1 2

Structural model:
Cell lengths 9.8299, 4.9428, 14.0034 Å; angles 90.00, 90.00, 90.00 degrees
Space group Pca2_1 (No. 29)
One atom of each set of equivalent atoms:
1 Li 0.0332 0.0525 0.0000 [4 per cell]
2 Li 0.2202 0.5614 0.2514 [4 per cell]
3 Cu 0.0256 0.9455 0.7481 [4 per cell]
4 Cu 0.2274 0.5446 0.0009 [4 per cell]
5 P 0.0324 0.4412 0.6247 [4 per cell]
6 P 0.2147 0.0687 0.3754 [4 per cell]
7 O 0.0104 0.1283 0.6244 [4 per cell]
8 O 0.0323 0.4420 0.0325 [4 per cell]
9 O 0.0334 0.4406 0.2163 [4 per cell]
10 O 0.0579 0.0181 0.3743 [4 per cell]
11 O 0.1863 0.5123 0.6259 [4 per cell]
12 O 0.2252 0.9435 0.7829 [4 per cell]
13 O 0.2259 0.9426 0.9676 [4 per cell]
14 O 0.2467 0.3767 0.3758 [4 per cell]

=====

[3]
TeI2: theoretical X-ray diffraction stick pattern (λ = 1.5418 Å (Cu Kα)), based on a crystal structure in the Materials Project, relaxed with GGA-PBE.
Intensities are scaled so that the largest is 100.

Most intense lines, 2θ from 15° to 90°, sorted by position:
two_theta	d [Å]	Rel. int.	(hkl)
22.43	3.963	91	2 1 0
25.63	3.475	74	1 1 1
31.11	2.875	85	2 1 1
37.28	2.412	100	3 0 1
43.32	2.089	49	0 0 2
75.48	1.259	37	3 0 3

Structural model:
Cell lengths 8.8623, 8.8623, 4.1763 Å; angles 90.00, 90.00, 90.00 degrees
Space group P4_2/mnm (No. 136)
One atom of each set of equivalent atoms:
1 Te 0.0000 0.0000 0.0000 [2 per cell]
2 I 0.1723 0.1723 0.5000 [4 per cell]

=====

[4]
CsI: theoretical X-ray diffraction stick pattern (λ = 1.5418 Å (Cu Kα)), based on a crystal structure in the Materials Project, relaxed with GGA-PBE.
Intensities are scaled so that the largest is 100.

Most intense lines, 2θ from 15° to 90°, sorted by position:
two_theta	d [Å]	Rel. int.	(hkl)
21.58	4.117	41	0 0 4
25.72	3.464	100	1 1 2
33.62	2.666	13	0 2 0
39.55	2.279	13	2 0 4
40.31	2.238	16	0 2 4
40.47	2.229	29	1 1 6

Structural model:
Cell lengths 5.4714, 5.3312, 16.4694 Å; angles 90.00, 90.00, 90.00 degrees
Space group Pnma (No. 62)
One atom of each set of equivalent atoms:
1 Cs 0.0387 0.2500 0.1244 [4 per cell]
2 I 0.0374 0.7500 0.3753 [4 per cell]

=====

[5]
Sr2O3: theoretical X-ray diffraction stick pattern (λ = 1.5418 Å (Cu Kα)), based on a crystal structure in the Materials Project, relaxed with GGA-PBE.
Intensities are scaled so that the largest is 100.

Most intense lines, 2θ from 15° to 90°, sorted by position:
two_theta	d [Å]	Rel. int.	(hkl)
27.56	3.237	100	1 1 0
39.37	2.289	38	2 0 0
48.73	1.869	42	2 1 1
56.89	1.618	24	2 2 0
64.36	1.448	19	3 1 0
78.12	1.223	22	3 2 1

Structural model:
Cell lengths 4.5777, 4.5777, 4.5777 Å; angles 90.00, 90.00, 90.00 degrees
Space group Pm-3m (No. 221)
One atom of each set of equivalent atoms:
1 Sr 0.0000 0.0000 0.0000 [1 per cell]
2 Sr 0.5000 0.5000 0.5000 [1 per cell]
3 O 0.0000 0.0000 0.5000 [3 per cell]

=====

[6]
RbLa2Ti3O9: theoretical X-ray diffraction stick pattern (λ = 1.5418 Å (Cu Kα)), based on a crystal structure in the Materials Project, relaxed with GGA-PBE.
Intensities are scaled so that the largest is 100.

Most intense lines, 2θ from 15° to 90°, sorted by position:
two_theta	d [Å]	Rel. int.	(hkl)
22.41	3.967	33	1 0 1
31.81	2.813	100	1 1 0
31.99	2.798	99	0 1 2
39.26	2.295	37	0 2 1
45.74	1.984	72	2 0 2
56.79	1.621	39	1 2 2

Structural model:
Cell lengths 5.6259, 5.6259, 6.8344 Å; angles 90.00, 90.00, 120.00 degrees
Space group P-3m1 (No. 164)
One atom of each set of equivalent atoms:
1 Rb 0.0000 0.0000 0.0000 [1 per cell]
2 La 0.3333 0.6667 0.6682 [2 per cell]
3 Ti 0.0000 0.0000 0.5000 [1 per cell]
4 Ti 0.3333 0.6667 0.1621 [2 per cell]
5 O 0.0000 0.5000 0.0000 [3 per cell]
6 O 0.1724 0.3447 0.3458 [6 per cell]